SrPmF: calculated PXRD pattern (CuKα), based on a crystal structure in Alexandria, relaxed with GGA-PBE.
Kinematic intensities with the Lorentz-polarization factor, no thermal factor.

Peak list (12 most intense, 5° ≤ 2θ ≤ 70°, in order of rising 2θ)
- 6.67°, intensity 37, hkl 0 0 1
- 26.57°, intensity 34, hkl 2 0 0
- 26.89°, intensity 53, hkl 0 0 4
- 27.70°, intensity 40, hkl 1 1 1
- 28.53°, intensity 77, hkl 1 1 -2
- 30.62°, intensity 100, hkl 1 1 2
- 31.86°, intensity 34, hkl 1 1 -3
- 41.40°, intensity 40, hkl 2 0 4
- 46.20°, intensity 52, hkl 0 2 0
- 51.23°, intensity 33, hkl 1 1 6
- 54.27°, intensity 45, hkl 3 1 -5
- 56.45°, intensity 18, hkl 4 0 1

Atomic structure:
Unit cell a=6.8039 b=3.9317 c=13.4489 alpha=90.00 beta=99.61 gamma=90.00
Space group Cm (No. 8)
Asymmetric unit:
Sr 0.0000 0.0000 0.0000 x2
Sr 0.0762 0.5000 0.7253 x2
Pm 0.1546 0.0000 0.4671 x2
Pm 0.4192 0.0000 0.2583 x2
F 0.1421 0.5000 0.9258 x2
F 0.4342 0.5000 0.7996 x2